TbGa3Rh: simulated powder XRD pattern (Cu Kα), based on a PBE-relaxed structure.
Peak positions follow from Bragg's law for the DFT cell and can differ from measured ones.

Structure:
```
data_TbGa3Rh
_chemical_formula_sum 'Tb3 Ga9 Rh3'
_cell_length_a 6.446
_cell_length_b 6.446
_cell_length_c 6.446
_cell_angle_alpha 90.00
_cell_angle_beta 90.00
_cell_angle_gamma 90.00
_symmetry_space_group_name_H-M 'P 1'
_symmetry_Int_Tables_number 1
loop_
_symmetry_equiv_pos_as_xyz
'x,y,z'
loop_
_atom_site_label
_atom_site_type_symbol
_atom_site_fract_x
_atom_site_fract_y
_atom_site_fract_z
Tb1 Tb 0.000 0.000 0.500
Tb2 Tb 0.000 0.500 0.000
Tb3 Tb 0.500 0.000 0.000
Ga1 Ga 0.000 0.000 0.000
Ga2 Ga 0.289 0.289 0.289
Ga3 Ga 0.289 0.289 0.711
Ga4 Ga 0.289 0.711 0.289
Ga5 Ga 0.289 0.711 0.711
Ga6 Ga 0.711 0.289 0.289
Ga7 Ga 0.711 0.289 0.711
Ga8 Ga 0.711 0.711 0.289
Ga9 Ga 0.711 0.711 0.711
Rh1 Rh 0.000 0.500 0.500
Rh2 Rh 0.500 0.000 0.500
Rh3 Rh 0.500 0.500 0.000
```

Main lines, by angle (15 to 90 degrees two-theta):
2θ (°), intensity
19.48, 8.5
27.68, 8.9
31.02, 14.1
34.07, 8.4
39.55, 100.0
57.16, 13.6
64.67, 9.1
71.74, 24.0